# 1
Diffraction record for Np2CdPtRh4. The powder XRD pattern is simulated, not measured: it uses a GGA-PBE-relaxed structure and Cu Kα X-rays.
Intensities are scaled so that the largest is 100.

Structural model:
```
16
Lattice="2.020 -5.533 0.000 2.020 5.533 0.000 0.000 0.000 13.493" Properties=species:S:1:pos:R:3 pbc="T T T"
Np 2.020 3.903 7.894
Np 2.020 3.903 12.345
Np 2.020 -3.903 1.147
Np 2.020 -3.903 5.599
Cd 2.020 1.398 10.119
Cd 2.020 -1.398 3.373
Pt 2.020 2.135 3.373
Pt 2.020 -2.135 10.119
Rh 2.020 5.166 10.119
Rh 2.020 3.951 1.305
Rh 2.020 3.951 5.442
Rh 2.020 0.000 0.000
Rh 2.020 0.000 6.746
Rh 2.020 -3.951 8.051
Rh 2.020 -3.951 12.188
Rh 2.020 -5.166 3.373
```

Main lines, by intensity (2θ = 10–90°):
2θ/deg, d/Å, I_rel
35.56, 2.525, 100
42.66, 2.119, 33
44.88, 2.020, 27
40.10, 2.249, 24
30.83, 2.900, 17
46.98, 1.934, 16
23.44, 3.795, 14
32.88, 2.724, 14
61.73, 1.503, 14
52.42, 1.745, 13


# 2
Diffraction record for NpZn2CdPt2. The powder XRD pattern is simulated, not measured: it uses a GGA-PBE-relaxed structure and Cu Kα X-rays.
Intensities are scaled so that the largest is 100.

Structural model:
```
6
Lattice="4.436 0.000 0.000 -2.218 3.842 0.000 0.000 0.000 6.586" Properties=species:S:1:pos:R:3 pbc="T T T"
Np 0.000 0.000 0.000
Zn 0.000 2.561 4.593
Zn 2.218 1.281 1.993
Cd 0.000 0.000 3.293
Pt 0.000 2.561 1.655
Pt 2.218 1.281 4.932
```

Main lines, by intensity (2θ = 10–90°):
2θ/deg, d/Å, I_rel
35.92, 2.500, 100
40.68, 2.218, 75
26.87, 3.318, 38
55.37, 1.659, 29
70.94, 1.329, 28
71.34, 1.322, 22
74.03, 1.281, 13
47.71, 1.906, 9
88.08, 1.109, 9
49.43, 1.844, 8